Sr2BeVN4: simulated XRD peak list (Cu Kα, 1.54184 Å), based on a cell relaxed with PBE.
Neutral-atom scattering factors, no anomalous dispersion.

Atomic structure:
Unit cell a=5.571 b=6.845 c=5.966 alpha=90.00 beta=90.00 gamma=90.00
Space group Pmmn (No. 59, origin choice 2)
Symmetry-distinct sites (fractional):
1 Sr 0.250 0.000 0.247
2 Be 0.250 0.250 0.674
3 V 0.250 0.750 0.678
4 N 0.005 0.250 0.504
5 N 0.250 0.506 0.816

The 6 most intense peaks (5° ≤ 2θ ≤ 70°), by intensity:
| 2theta | d [Å] | I/Imax | h k l |
| --- | --- | --- | --- |
| 34.23 | 2.620 | 100 | 1 2 1 |
| 32.14 | 2.785 | 39 | 2 0 0 |
| 44.50 | 2.036 | 37 | 2 0 2 |
| 29.95 | 2.983 | 36 | 0 0 2 |
| 21.83 | 4.072 | 35 | 1 0 1 |
| 40.10 | 2.249 | 27 | 0 2 2 |